1.
Ce7GaGe3: theoretical X-ray diffraction stick pattern (Cu Kα (weighted mean of Kα1 and Kα2)), based on a cell relaxed with PBE.

Peak list (12 most intense, 2θ = 10–80°, low angle first)
2θ/deg	I (rel.)
24.34	309
26.57	138
31.05	165
31.44	695
31.70	655
34.93	135
37.63	1000
44.78	120
45.25	487
60.11	250
60.42	223
71.51	121

Structural model:
```
11
Lattice="-2.845 4.468 5.645 2.845 -4.468 5.645 2.845 4.468 -5.645" Properties=species:S:1:pos:R:3 pbc="T T T"
Ce 0.000 0.000 0.000
Ce 2.845 -1.376 2.930
Ce 2.845 3.058 0.000
Ce 2.845 1.376 2.930
Ce 0.000 3.092 2.715
Ce 0.000 1.409 5.645
Ce 0.000 5.844 2.715
Ga 2.845 0.000 0.000
Ge 0.000 0.000 2.963
Ge 0.000 4.468 0.000
Ge 0.000 0.000 8.327
```

2.
Ce3Ga4Ge3: theoretical X-ray diffraction stick pattern (Cu Kα (weighted mean of Kα1 and Kα2)), based on a cell relaxed with PBE.

Peak list (12 most intense, 2θ = 10–80°, low angle first)
2θ/deg	I (rel.)
22.65	112
26.21	144
29.37	217
34.91	1000
42.02	452
46.25	116
52.09	216
59.23	103
65.88	121
67.48	121
70.63	95
78.28	83

Structural model:
```
20
Lattice="-4.808 4.808 4.808 4.808 -4.808 4.808 4.808 4.808 -4.808" Properties=species:S:1:pos:R:3 pbc="T T T"
Ce 4.808 -2.404 3.606
Ce 3.606 4.808 -2.404
Ce 4.808 2.404 1.202
Ce 2.404 1.202 4.808
Ce 1.202 4.808 2.404
Ce -2.404 3.606 4.808
Ga 3.345 1.463 -1.463
Ga 5.749 -0.941 0.941
Ga 1.463 -1.463 3.345
Ga 1.463 1.463 1.463
Ga -1.463 3.345 1.463
Ga 0.941 5.749 -0.941
Ga -0.941 0.941 5.749
Ga 3.867 3.867 3.867
Ge 7.212 1.202 0.000
Ge 3.606 0.000 2.404
Ge 2.404 3.606 0.000
Ge 0.000 2.404 3.606
Ge 1.202 0.000 7.212
Ge 0.000 7.212 1.202
```

3.
Ce8Ga2Ge: theoretical X-ray diffraction stick pattern (Cu Kα (weighted mean of Kα1 and Kα2)), based on a cell relaxed with PBE.

Peak list (12 most intense, 2θ = 10–80°, low angle first)
2θ/deg	I (rel.)
31.06	267
31.61	1000
33.31	542
33.41	856
33.65	603
34.94	578
35.18	250
37.25	235
37.35	609
48.31	286
56.29	249
61.93	259

Structural model:
```
11
Lattice="4.168 -6.803 0.000 4.168 6.803 0.000 -1.870 0.000 5.101" Properties=species:S:1:pos:R:3 pbc="T T T"
Ce 0.411 1.398 2.933
Ce 4.168 3.717 0.000
Ce 0.411 -1.398 2.933
Ce 3.020 0.000 0.805
Ce 3.446 0.000 4.296
Ce 6.056 1.398 2.168
Ce 4.168 -3.717 0.000
Ce 6.056 -1.398 2.168
Ga 3.233 2.564 2.551
Ga 3.233 -2.564 2.551
Ge 0.000 0.000 0.000
```

4.
Ce6Ga3Ge: theoretical X-ray diffraction stick pattern (Cu Kα (weighted mean of Kα1 and Kα2)), based on a cell relaxed with PBE.

Peak list (12 most intense, 2θ = 10–80°, low angle first)
2θ/deg	I (rel.)
19.47	115
26.19	116
27.88	309
32.30	151
33.54	1000
34.23	148
34.92	375
36.09	144
39.70	132
49.32	297
60.97	132
66.68	144

Structural model:
```
20
Lattice="5.543 3.201 4.851 -5.543 3.201 4.851 0.000 -6.401 4.851" Properties=species:S:1:pos:R:3 pbc="T T T"
Ce 0.000 -4.166 3.295
Ce -3.608 2.083 3.295
Ce 0.000 -2.256 5.440
Ce -1.954 1.128 5.440
Ce -3.608 -2.083 11.258
Ce -1.954 -1.128 9.114
Ce 1.954 1.128 5.440
Ce 3.608 2.083 3.295
Ce 1.954 -1.128 9.114
Ce 0.000 2.256 9.114
Ce 3.608 -2.083 11.258
Ce 0.000 4.166 11.258
Ga -3.146 -1.817 6.183
Ga 0.000 -3.633 8.371
Ga -3.146 1.817 8.371
Ga 3.146 -1.817 6.183
Ga 0.000 3.633 6.183
Ga 3.146 1.817 8.371
Ge 0.000 0.000 0.000
Ge 0.000 0.000 7.277
```

5.
Ce2Ga12Ge: theoretical X-ray diffraction stick pattern (Cu Kα (weighted mean of Kα1 and Kα2)), based on a cell relaxed with PBE.

Peak list (12 most intense, 2θ = 10–80°, low angle first)
2θ/deg	I (rel.)
30.36	1000
31.08	624
33.49	138
36.17	183
37.01	350
39.76	904
41.44	549
46.26	247
51.32	373
57.51	169
68.42	195
73.32	255

Structural model:
```
30
Lattice="6.410 0.000 0.000 0.000 6.410 0.000 0.000 0.000 14.893" Properties=species:S:1:pos:R:3 pbc="T T T"
Ce 1.603 4.808 3.612
Ce 1.603 4.808 11.281
Ce 4.808 1.603 3.612
Ce 4.808 1.603 11.281
Ga 0.003 6.407 1.344
Ga 6.407 0.003 13.548
Ga 6.407 3.202 1.344
Ga 0.003 3.208 13.548
Ga 0.494 3.699 6.359
Ga 0.494 5.916 8.534
Ga 1.603 1.603 2.653
Ga 1.603 1.603 5.111
Ga 1.603 1.603 9.781
Ga 1.603 1.603 12.240
Ga 2.711 3.699 8.534
Ga 2.711 5.916 6.359
Ga 3.208 0.003 1.344
Ga 3.202 6.407 13.548
Ga 3.202 3.208 1.344
Ga 3.208 3.202 13.548
Ga 3.699 0.494 8.534
Ga 3.699 2.711 6.359
Ga 4.808 4.808 2.653
Ga 4.808 4.808 5.111
Ga 4.808 4.808 9.781
Ga 4.808 4.808 12.240
Ga 5.916 0.494 6.359
Ga 5.916 2.711 8.534
Ge 1.603 4.808 0.000
Ge 4.808 1.603 0.000
```

6.
Ce5Ga2Ge5: theoretical X-ray diffraction stick pattern (Cu Kα (weighted mean of Kα1 and Kα2)), based on a cell relaxed with PBE.

Peak list (12 most intense, 2θ = 10–80°, low angle first)
2θ/deg	I (rel.)
31.13	1000
33.44	770
34.13	174
36.47	202
40.92	659
43.55	310
45.94	200
51.31	112
56.01	216
63.75	178
65.16	139
74.45	111

Structural model:
```
12
Lattice="7.548 -2.078 0.000 7.548 2.078 0.000 -6.868 0.000 8.854" Properties=species:S:1:pos:R:3 pbc="T T T"
Ce 0.000 0.000 0.000
Ce 1.924 0.000 3.622
Ce 4.268 0.000 1.725
Ce 3.961 0.000 7.129
Ce 6.306 0.000 5.233
Ga 0.667 0.000 6.449
Ga 7.562 0.000 2.405
Ge -3.434 0.000 4.427
Ge -1.286 0.000 2.840
Ge -1.437 0.000 7.806
Ge 9.666 0.000 1.048
Ge 9.515 0.000 6.014
```